Record 1
Calculated X-ray powder pattern of CdSnHg2Pb2 for CuKα, from the GGA-PBE geometry in Alexandria.
Intensities are scaled so that the largest is 100.

Structural model:
```
data_CdSnHg2Pb2
_symmetry_space_group_name_H-M 'P m c 21'
_symmetry_Int_Tables_number 26
_cell_length_a 5.2201
_cell_length_b 9.5441
_cell_length_c 6.6115
_cell_angle_alpha 90.00
_cell_angle_beta 90.00
_cell_angle_gamma 90.00
loop_
_symmetry_equiv_pos_as_xyz
'x,y,z'
'-x,-y,z+1/2'
'-x,y,z'
'x,-y,z+1/2'
loop_
_atom_site_label
_atom_site_type_symbol
_atom_site_fract_x
_atom_site_fract_y
_atom_site_fract_z
_atom_site_occupancy
Cd1 Cd 0.0000 0.1753 0.0000 1
Sn1 Sn 0.5000 0.0136 0.2931 1
Hg1 Hg 0.0000 0.1397 0.5075 1
Hg2 Hg 0.5000 0.3294 0.1454 1
Pb1 Pb 0.0000 0.4900 0.3983 1
Pb2 Pb 0.5000 0.3190 0.6488 1
```

Most intense lines, 15° ≤ 2θ ≤ 90°, in order of rising 2θ:
| Position (°2θ) | intensity | (hkl) |
| --- | --- | --- |
| 32.05 | 51 | 1 0 2 |
| 32.97 | 100 | 1 3 0 |
| 33.43 | 35 | 1 1 2 |
| 34.36 | 39 | 2 0 0 |
| 39.30 | 28 | 0 3 2 |
| 48.35 | 14 | 2 2 2 |
| 53.18 | 23 | 2 3 2 |
| 58.58 | 11 | 1 5 2 |
| 60.66 | 14 | 3 3 0 |
| 67.81 | 18 | 1 6 2 |


Record 2
Calculated X-ray powder pattern of Ba2LiTmCu3O7 for CuKα, from the GGA-PBE geometry in Alexandria.
Intensities are scaled so that the largest is 100.

Structural model:
```
data_Ba2LiTmCu3O7
_symmetry_space_group_name_H-M 'P 1 m 1'
_symmetry_Int_Tables_number 6
_cell_length_a 3.8357
_cell_length_b 11.7520
_cell_length_c 4.1469
_cell_angle_alpha 90.00
_cell_angle_beta 91.79
_cell_angle_gamma 90.00
loop_
_symmetry_equiv_pos_as_xyz
'x,y,z'
'x,-y,z'
loop_
_atom_site_label
_atom_site_type_symbol
_atom_site_fract_x
_atom_site_fract_y
_atom_site_fract_z
_atom_site_occupancy
Ba1 Ba 0.0000 0.1765 0.0000 1
Li1 Li 0.6626 0.5000 0.3045 1
Tm1 Tm 0.0763 0.5000 0.8801 1
Cu1 Cu 0.5039 0.0000 0.4968 1
Cu2 Cu 0.5038 0.3331 0.4983 1
O1 O 0.0065 0.3812 0.4701 1
O2 O 0.5029 0.1595 0.4966 1
O3 O 0.5049 0.0000 0.9965 1
O4 O 0.5289 0.3819 0.9819 1
```

Most intense lines, 15° ≤ 2θ ≤ 90°, in order of rising 2θ:
| Position (°2θ) | intensity | (hkl) |
| --- | --- | --- |
| 22.72 | 21 | 0 3 0 |
| 31.28 | 39 | 1 0 -1 |
| 31.42 | 92 | 0 3 1 |
| 32.29 | 60 | 1 0 1 |
| 32.68 | 100 | 1 3 0 |
| 43.68 | 23 | 0 0 2 |
| 46.36 | 22 | 0 6 0 |
| 47.43 | 23 | 2 0 0 |
| 56.25 | 18 | 1 3 2 |
| 57.63 | 22 | 1 6 1 |


Record 3
Calculated X-ray powder pattern of CsCeCu2Cl8 for CuKα, from the GGA-PBE geometry in Alexandria.
Intensities are scaled so that the largest is 100.

Structural model:
```
data_CsCeCu2Cl8
_symmetry_space_group_name_H-M 'C 1 2/m 1'
_symmetry_Int_Tables_number 12
_cell_length_a 10.3914
_cell_length_b 7.3632
_cell_length_c 10.3859
_cell_angle_alpha 90.00
_cell_angle_beta 93.90
_cell_angle_gamma 90.00
loop_
_symmetry_equiv_pos_as_xyz
'x,y,z'
'-x,-y,-z'
'-x,y,-z'
'x,-y,z'
'x+1/2,y+1/2,z'
'-x+1/2,-y+1/2,-z'
'-x+1/2,y+1/2,-z'
'x+1/2,-y+1/2,z'
loop_
_atom_site_label
_atom_site_type_symbol
_atom_site_fract_x
_atom_site_fract_y
_atom_site_fract_z
_atom_site_occupancy
Cs1 Cs 0.0000 0.0000 0.0000 1
Ce1 Ce 0.0000 0.0000 0.5000 1
Cu1 Cu 0.1389 0.5000 0.2870 1
Cl1 Cl 0.0015 0.2449 0.6885 1
Cl2 Cl 0.1728 0.5000 0.0837 1
Cl3 Cl 0.2421 0.5000 0.4856 1
```

Most intense lines, 15° ≤ 2θ ≤ 90°, in order of rising 2θ:
| Position (°2θ) | intensity | (hkl) |
| --- | --- | --- |
| 16.77 | 42 | 1 1 -1 |
| 17.11 | 75 | 2 0 0 |
| 22.22 | 87 | 1 1 -2 |
| 23.11 | 76 | 1 1 2 |
| 24.17 | 55 | 0 2 0 |
| 28.53 | 100 | 3 1 0 |
| 29.77 | 50 | 0 2 2 |
| 34.62 | 33 | 0 0 4 |
| 45.32 | 71 | 4 2 -2 |
| 47.23 | 35 | 4 2 2 |


Record 4
Calculated X-ray powder pattern of Rb6Tl23 for CuKα, from the GGA-PBE geometry in Alexandria.
Intensities are scaled so that the largest is 100.

Structural model:
```
data_Rb6Tl23
_symmetry_space_group_name_H-M 'F m -3 m'
_symmetry_Int_Tables_number 225
_symmetry_space_group_name_Hall '-F 4 2 3'
_cell_length_a 16.1909
_cell_length_b 16.1909
_cell_length_c 16.1909
_cell_angle_alpha 90.00
_cell_angle_beta 90.00
_cell_angle_gamma 90.00
loop_
_atom_site_label
_atom_site_type_symbol
_atom_site_fract_x
_atom_site_fract_y
_atom_site_fract_z
_atom_site_occupancy
Rb1 Rb 0.0000 0.0000 0.2138 1
Tl1 Tl 0.0000 0.0000 0.5000 1
Tl2 Tl 0.0000 0.2500 0.2500 1
Tl3 Tl 0.1240 0.1240 0.3760 1
Tl4 Tl 0.1731 0.1731 0.1731 1
```

Most intense lines, 15° ≤ 2θ ≤ 90°, in order of rising 2θ:
| Position (°2θ) | intensity | (hkl) |
| --- | --- | --- |
| 28.65 | 30 | 3 3 3 |
| 31.25 | 100 | 4 4 0 |
| 32.72 | 38 | 5 3 1 |
| 35.05 | 14 | 6 2 0 |
| 36.39 | 19 | 5 3 3 |
| 36.82 | 24 | 6 2 2 |
| 55.62 | 28 | 8 4 4 |
| 56.56 | 19 | 9 3 3 |
| 65.19 | 15 | 8 8 0 |
| 66.05 | 14 | 11 3 1 |